Entry 1:
The following is a computed powder diffractogram of Nd6CdAu. It was derived from a structure optimized by DFT (GGA-PBE), using Cu Kα (weighted mean of Kα1 and Kα2).
Intensities are scaled so that the largest is 100.

Crystal structure
```
data_Nd6CdAu
_chemical_formula_sum 'Nd6 Cd1 Au1'
_space_group_name_H-M_alt 'P -1'
_space_group_IT_number 2
_cell_length_a 6.2888
_cell_length_b 6.2947
_cell_length_c 6.2948
_cell_angle_alpha 94.03
_cell_angle_beta 94.12
_cell_angle_gamma 94.00
loop_
_space_group_symop_operation_xyz
'x,y,z'
'-x,-y,-z'
loop_
_atom_site_label
_atom_site_type_symbol
_atom_site_fract_x
_atom_site_fract_y
_atom_site_fract_z
_atom_site_occupancy
Nd1 Nd 0.0278 0.0595 0.2549 1
Nd2 Nd 0.2449 0.4715 0.9412 1
Nd3 Nd 0.4411 0.7449 0.4720 1
Cd1 Cd 0.5000 0.0000 0.0000 1
Au1 Au 0.0000 0.5000 0.5000 1
```

Peak list (6 most intense, 2θ = 10–90°, low angle first)
two_theta	intensity
28.52	42
30.96	95
32.96	49
34.66	100
37.36	27
52.59	35

Entry 2:
The following is a computed powder diffractogram of Nd4Cd5Au6. It was derived from a structure optimized by DFT (GGA-PBE), using Cu Kα (weighted mean of Kα1 and Kα2).
Intensities are scaled so that the largest is 100.

Crystal structure
```
data_Nd4Cd5Au6
_chemical_formula_sum 'Nd16 Cd20 Au24'
_space_group_name_H-M_alt 'C m c 21'
_space_group_IT_number 36
_cell_length_a 4.0955
_cell_length_b 23.1085
_cell_length_c 15.4392
_cell_angle_alpha 90.00
_cell_angle_beta 90.00
_cell_angle_gamma 90.00
loop_
_space_group_symop_operation_xyz
'x,y,z'
'-x,-y,z+1/2'
'-x,y,z'
'x,-y,z+1/2'
'x+1/2,y+1/2,z'
'-x+1/2,-y+1/2,z+1/2'
'-x+1/2,y+1/2,z'
'x+1/2,-y+1/2,z+1/2'
loop_
_atom_site_label
_atom_site_type_symbol
_atom_site_fract_x
_atom_site_fract_y
_atom_site_fract_z
_atom_site_occupancy
Nd1 Nd 0.0000 0.0248 0.0000 1
Nd2 Nd 0.0000 0.0544 0.2718 1
Nd3 Nd 0.0000 0.1340 0.7756 1
Nd4 Nd 0.0000 0.1805 0.4377 1
Cd1 Cd 0.0000 0.1799 0.1098 1
Cd2 Cd 0.0000 0.3104 0.1105 1
Cd3 Cd 0.0000 0.3234 0.7645 1
Cd4 Cd 0.0000 0.3586 0.4551 1
Cd5 Cd 0.0000 0.4660 0.1585 1
Au1 Au 0.0000 0.0988 0.5824 1
Au2 Au 0.0000 0.2253 0.9341 1
Au3 Au 0.0000 0.2667 0.2833 1
Au4 Au 0.0000 0.4107 0.6244 1
Au5 Au 0.0000 0.4229 0.9251 1
Au6 Au 0.0000 0.4602 0.3450 1
```

Peak list (6 most intense, 2θ = 10–90°, low angle first)
two_theta	intensity
31.40	31
32.10	32
34.03	100
34.87	29
39.18	33
44.23	40

Entry 3:
The following is a computed powder diffractogram of NdTlCdAu. It was derived from a structure optimized by DFT (GGA-PBE), using Cu Kα (weighted mean of Kα1 and Kα2).
Intensities are scaled so that the largest is 100.

Crystal structure
```
data_NdTlCdAu
_chemical_formula_sum 'Nd4 Tl4 Cd4 Au4'
_space_group_name_H-M_alt 'F -4 3 m'
_space_group_IT_number 216
_space_group_name_Hall 'F -4 2 3'
_cell_length_a 7.3116
_cell_length_b 7.3116
_cell_length_c 7.3116
_cell_angle_alpha 90.00
_cell_angle_beta 90.00
_cell_angle_gamma 90.00
loop_
_atom_site_label
_atom_site_type_symbol
_atom_site_fract_x
_atom_site_fract_y
_atom_site_fract_z
_atom_site_occupancy
Nd1 Nd 0.0000 0.0000 0.0000 1
Tl1 Tl 0.2500 0.2500 0.7500 1
Cd1 Cd 0.0000 0.0000 0.5000 1
Au1 Au 0.2500 0.2500 0.2500 1
```

Peak list (6 most intense, 2θ = 10–90°, low angle first)
two_theta	intensity
24.35	5
34.70	100
49.89	18
62.20	37
73.23	12
83.65	16

Entry 4:
The following is a computed powder diffractogram of NpCd4Au2. It was derived from a structure optimized by DFT (GGA-PBE), using Cu Kα (weighted mean of Kα1 and Kα2).
Intensities are scaled so that the largest is 100.

Crystal structure
```
data_NpCd4Au2
_chemical_formula_sum 'Np2 Cd8 Au4'
_space_group_name_H-M_alt 'C 1 2/m 1'
_space_group_IT_number 12
_cell_length_a 8.5013
_cell_length_b 4.8842
_cell_length_c 8.0552
_cell_angle_alpha 90.00
_cell_angle_beta 109.71
_cell_angle_gamma 90.00
loop_
_space_group_symop_operation_xyz
'x,y,z'
'-x,-y,-z'
'-x,y,-z'
'x,-y,z'
'x+1/2,y+1/2,z'
'-x+1/2,-y+1/2,-z'
'-x+1/2,y+1/2,-z'
'x+1/2,-y+1/2,z'
loop_
_atom_site_label
_atom_site_type_symbol
_atom_site_fract_x
_atom_site_fract_y
_atom_site_fract_z
_atom_site_occupancy
Np1 Np 0.0000 0.0000 0.0000 1
Cd1 Cd 0.0898 0.5000 0.7638 1
Cd2 Cd 0.1404 0.0000 0.4248 1
Au1 Au 0.2280 0.5000 0.1912 1
```

Peak list (6 most intense, 2θ = 10–90°, low angle first)
two_theta	intensity
34.66	86
35.02	41
36.67	100
36.80	50
38.26	22
51.71	27

Entry 5:
The following is a computed powder diffractogram of Cd2AuO4. It was derived from a structure optimized by DFT (GGA-PBE), using Cu Kα (weighted mean of Kα1 and Kα2).
Intensities are scaled so that the largest is 100.

Crystal structure
```
data_Cd2AuO4
_chemical_formula_sum 'Cd4 Au2 O8'
_space_group_name_H-M_alt 'C 1 2/m 1'
_space_group_IT_number 12
_cell_length_a 11.2614
_cell_length_b 5.6007
_cell_length_c 3.4241
_cell_angle_alpha 90.00
_cell_angle_beta 107.58
_cell_angle_gamma 90.00
loop_
_space_group_symop_operation_xyz
'x,y,z'
'-x,-y,-z'
'-x,y,-z'
'x,-y,z'
'x+1/2,y+1/2,z'
'-x+1/2,-y+1/2,-z'
'-x+1/2,y+1/2,-z'
'x+1/2,-y+1/2,z'
loop_
_atom_site_label
_atom_site_type_symbol
_atom_site_fract_x
_atom_site_fract_y
_atom_site_fract_z
_atom_site_occupancy
Cd1 Cd 0.1766 0.0000 0.1772 1
Au1 Au 0.0000 0.5000 0.5000 1
O1 O 0.1370 0.2578 0.6376 1
```

Peak list (6 most intense, 2θ = 10–90°, low angle first)
two_theta	intensity
29.62	100
30.60	97
31.96	30
36.27	24
36.35	22
49.14	62

Entry 6:
The following is a computed powder diffractogram of PmCdAuO4. It was derived from a structure optimized by DFT (GGA-PBE), using Cu Kα (weighted mean of Kα1 and Kα2).
Intensities are scaled so that the largest is 100.

Crystal structure
```
data_PmCdAuO4
_chemical_formula_sum 'Pm4 Cd4 Au4 O16'
_space_group_name_H-M_alt 'I m m a'
_space_group_IT_number 74
_space_group_name_Hall '-I 2b 2'
_cell_length_a 6.4288
_cell_length_b 7.2748
_cell_length_c 9.7554
_cell_angle_alpha 90.00
_cell_angle_beta 90.00
_cell_angle_gamma 90.00
loop_
_atom_site_label
_atom_site_type_symbol
_atom_site_fract_x
_atom_site_fract_y
_atom_site_fract_z
_atom_site_occupancy
Pm1 Pm 0.0000 0.0000 0.0000 1
Cd1 Cd 0.0000 0.2500 0.3144 1
Au1 Au 0.2500 0.2500 0.7500 1
O1 O 0.0000 0.0730 0.7579 1
O2 O 0.2099 0.2500 0.0732 1
```

Peak list (6 most intense, 2θ = 10–90°, low angle first)
two_theta	intensity
29.67	51
30.66	100
30.81	43
31.79	94
41.42	48
55.26	42

Entry 7:
The following is a computed powder diffractogram of Rb5CdAuO2. It was derived from a structure optimized by DFT (GGA-PBE), using Cu Kα (weighted mean of Kα1 and Kα2).
Intensities are scaled so that the largest is 100.

Crystal structure
```
data_Rb5CdAuO2
_chemical_formula_sum 'Rb5 Cd1 Au1 O2'
_space_group_name_H-M_alt 'P 4/m m m'
_space_group_IT_number 123
_space_group_name_Hall '-P 4 2'
_cell_length_a 5.8106
_cell_length_b 5.8106
_cell_length_c 9.9011
_cell_angle_alpha 90.00
_cell_angle_beta 90.00
_cell_angle_gamma 90.00
loop_
_atom_site_label
_atom_site_type_symbol
_atom_site_fract_x
_atom_site_fract_y
_atom_site_fract_z
_atom_site_occupancy
Rb1 Rb 0.0000 0.0000 0.0000 1
Rb2 Rb 0.0000 0.5000 0.2643 1
Cd1 Cd 0.0000 0.0000 0.5000 1
Au1 Au 0.5000 0.5000 0.0000 1
O1 O 0.0000 0.0000 0.2895 1
```

Peak list (6 most intense, 2θ = 10–90°, low angle first)
two_theta	intensity
17.70	33
28.23	100
30.78	48
44.08	18
48.30	24
53.17	34

Entry 8:
The following is a computed powder diffractogram of CdAuS2O8. It was derived from a structure optimized by DFT (GGA-PBE), using Cu Kα (weighted mean of Kα1 and Kα2).
Intensities are scaled so that the largest is 100.

Crystal structure
```
data_CdAuS2O8
_chemical_formula_sum 'Cd3 Au3 S6 O24'
_space_group_name_H-M_alt 'R 3 2'
_space_group_IT_number 155
_space_group_name_Hall 'R 3 2"'
_cell_length_a 4.9190
_cell_length_b 4.9190
_cell_length_c 21.5139
_cell_angle_alpha 90.00
_cell_angle_beta 90.00
_cell_angle_gamma 120.00
loop_
_atom_site_label
_atom_site_type_symbol
_atom_site_fract_x
_atom_site_fract_y
_atom_site_fract_z
_atom_site_occupancy
Cd1 Cd 0.0000 0.0000 0.0000 1
Au1 Au 0.0000 0.0000 0.5000 1
S1 S 0.0000 0.0000 0.2591 1
O1 O 0.0000 0.0000 0.3282 1
O2 O 0.0301 0.3946 0.4299 1
```

Peak list (6 most intense, 2θ = 10–90°, low angle first)
two_theta	intensity
22.45	42
26.69	100
36.53	43
39.63	33
44.68	37
45.82	19

Entry 9:
The following is a computed powder diffractogram of Th2CdOsAu. It was derived from a structure optimized by DFT (GGA-PBE), using Cu Kα (weighted mean of Kα1 and Kα2).
Intensities are scaled so that the largest is 100.

Crystal structure
```
data_Th2CdOsAu
_chemical_formula_sum 'Th4 Cd2 Os2 Au2'
_space_group_name_H-M_alt 'P 1 21/m 1'
_space_group_IT_number 11
_cell_length_a 7.0416
_cell_length_b 4.0726
_cell_length_c 9.1335
_cell_angle_alpha 90.00
_cell_angle_beta 99.95
_cell_angle_gamma 90.00
loop_
_space_group_symop_operation_xyz
'x,y,z'
'-x,-y,-z'
'-x,y+1/2,-z'
'x,-y+1/2,z'
loop_
_atom_site_label
_atom_site_type_symbol
_atom_site_fract_x
_atom_site_fract_y
_atom_site_fract_z
_atom_site_occupancy
Th1 Th 0.2087 0.2500 0.0956 1
Th2 Th 0.2734 0.7500 0.7462 1
Cd1 Cd 0.3931 0.7500 0.3952 1
Os1 Os 0.4797 0.7500 0.1107 1
Au1 Au 0.1338 0.2500 0.4645 1
```

Peak list (6 most intense, 2θ = 10–90°, low angle first)
two_theta	intensity
33.73	83
33.95	92
36.71	100
37.15	71
37.70	92
44.49	76

Entry 10:
The following is a computed powder diffractogram of CdPAu. It was derived from a structure optimized by DFT (GGA-PBE), using Cu Kα (weighted mean of Kα1 and Kα2).
Intensities are scaled so that the largest is 100.

Crystal structure
```
data_CdPAu
_chemical_formula_sum 'Cd2 P2 Au2'
_space_group_name_H-M_alt 'P 1'
_space_group_IT_number 1
_cell_length_a 3.2434
_cell_length_b 5.6992
_cell_length_c 7.7487
_cell_angle_alpha 99.68
_cell_angle_beta 90.19
_cell_angle_gamma 105.90
loop_
_space_group_symop_operation_xyz
'x,y,z'
loop_
_atom_site_label
_atom_site_type_symbol
_atom_site_fract_x
_atom_site_fract_y
_atom_site_fract_z
_atom_site_occupancy
Cd1 Cd 0.0000 0.0000 0.0000 1
Cd2 Cd 0.2690 0.5577 0.3040 1
P1 P 0.1640 0.3258 0.7646 1
P2 P 0.5652 0.1242 0.6107 1
Au1 Au 0.3688 0.7318 0.6997 1
Au2 Au 0.5482 0.0987 0.2975 1
```

Peak list (6 most intense, 2θ = 10–90°, low angle first)
two_theta	intensity
18.40	92
23.32	59
33.22	100
35.30	57
38.28	45
44.43	51

Entry 11:
The following is a computed powder diffractogram of Cd2Pb2Au15. It was derived from a structure optimized by DFT (GGA-PBE), using Cu Kα (weighted mean of Kα1 and Kα2).
Intensities are scaled so that the largest is 100.

Crystal structure
```
data_Cd2Pb2Au15
_chemical_formula_sum 'Cd6 Pb6 Au45'
_space_group_name_H-M_alt 'R -3 m'
_space_group_IT_number 166
_space_group_name_Hall '-R 3 2"'
_cell_length_a 9.7505
_cell_length_b 9.7505
_cell_length_c 14.3372
_cell_angle_alpha 90.00
_cell_angle_beta 90.00
_cell_angle_gamma 120.00
loop_
_atom_site_label
_atom_site_type_symbol
_atom_site_fract_x
_atom_site_fract_y
_atom_site_fract_z
_atom_site_occupancy
Cd1 Cd 0.0000 0.0000 0.1070 1
Pb1 Pb 0.0000 0.0000 0.3605 1
Au1 Au 0.0000 0.3060 0.0000 1
Au2 Au 0.0000 0.5000 0.5000 1
Au3 Au 0.0050 0.5025 0.1522 1
```

Peak list (6 most intense, 2θ = 10–90°, low angle first)
two_theta	intensity
31.79	26
36.87	48
37.07	100
37.66	45
41.59	80
66.43	30

Entry 12:
The following is a computed powder diffractogram of Cd4PbAu2. It was derived from a structure optimized by DFT (GGA-PBE), using Cu Kα (weighted mean of Kα1 and Kα2).
Intensities are scaled so that the largest is 100.

Crystal structure
```
data_Cd4PbAu2
_chemical_formula_sum 'Cd8 Pb2 Au4'
_space_group_name_H-M_alt 'P 42/m n m'
_space_group_IT_number 136
_space_group_name_Hall '-P 4n 2n'
_cell_length_a 8.8307
_cell_length_b 8.8307
_cell_length_c 4.2224
_cell_angle_alpha 90.00
_cell_angle_beta 90.00
_cell_angle_gamma 90.00
loop_
_atom_site_label
_atom_site_type_symbol
_atom_site_fract_x
_atom_site_fract_y
_atom_site_fract_z
_atom_site_occupancy
Cd1 Cd 0.0943 0.3393 0.0000 1
Pb1 Pb 0.0000 0.0000 0.5000 1
Au1 Au 0.1890 0.8110 0.0000 1
```

Peak list (6 most intense, 2θ = 10–90°, low angle first)
two_theta	intensity
31.01	100
35.77	58
38.66	36
42.19	41
42.83	30
61.69	26

Entry 13:
The following is a computed powder diffractogram of Cd4PbAu4. It was derived from a structure optimized by DFT (GGA-PBE), using Cu Kα (weighted mean of Kα1 and Kα2).
Intensities are scaled so that the largest is 100.

Crystal structure
```
data_Cd4PbAu4
_chemical_formula_sum 'Cd8 Pb2 Au8'
_space_group_name_H-M_alt 'P 42/n'
_space_group_IT_number 86
_cell_length_a 8.7714
_cell_length_b 8.7714
_cell_length_c 5.1374
_cell_angle_alpha 90.00
_cell_angle_beta 90.00
_cell_angle_gamma 90.00
loop_
_space_group_symop_operation_xyz
'x,y,z'
'-x,-y,-z'
'-y,x+1/2,z+1/2'
'y,-x+1/2,-z+1/2'
'-x+1/2,-y+1/2,z'
'x+1/2,y+1/2,-z'
'y+1/2,-x,z+1/2'
'-y+1/2,x,-z+1/2'
loop_
_atom_site_label
_atom_site_type_symbol
_atom_site_fract_x
_atom_site_fract_y
_atom_site_fract_z
_atom_site_occupancy
Cd1 Cd 0.1018 0.8358 0.1549 1
Pb1 Pb 0.2500 0.2500 0.7500 1
Au1 Au 0.0401 0.1397 0.3365 1
```

Peak list (6 most intense, 2θ = 10–90°, low angle first)
two_theta	intensity
28.63	58
32.27	98
35.32	100
41.05	94
42.05	62
67.50	41